The following is a simulated X-ray diffraction stick pattern of Li4ZrTcO6. It was derived from DFT lattice parameters and positions (GGA-PBE), using copper Kα.

Peak list (6 most intense, 2θ from 5° to 70°, most intense first)
two_theta  I/Imax
18.1  1000
42.5  847
34.9  518
20.6  364
23.1  273
36.6  255

Structure:
```
12
Lattice="2.6098 -4.5177 0.0000 2.6098 4.5177 0.0000 -1.7308 0.0000 4.8901" Properties=species:S:1:pos:R:3 pbc="T T T"
Li 0.0000 0.0000 0.0000
Li 1.7443 3.0687 2.4451
Li 1.7443 0.1079 2.4451
Li 1.7443 -3.1412 2.4451
Zr 2.6098 -1.5088 0.0000
Tc 2.6098 1.5138 0.0000
O 0.9342 1.5245 1.1646
O 0.0572 0.0444 3.7089
O 0.8530 -1.5728 1.1758
O 2.5545 1.5245 3.7256
O 3.4315 0.0444 1.1812
O 2.6357 -1.5728 3.7143
```

=====

The following is a simulated X-ray diffraction stick pattern of BaSmC2O6F. It was derived from DFT lattice parameters and positions (GGA-PBE), using copper Kα.

Peak list (6 most intense, 2θ from 5° to 70°, most intense first)
two_theta  I/Imax
28.1  1000
22.7  978
36.0  536
46.6  466
42.9  395
44.1  330

Structure:
```
22
Lattice="2.4974 1.4419 12.4444 -2.4974 1.4419 12.4444 0.0000 -2.8837 12.4444" Properties=species:S:1:pos:R:3 pbc="T T T"
Ba 0.0000 0.0000 0.0000
Ba 0.0000 0.0000 18.6666
Sm 0.0000 0.0000 9.1409
Sm 0.0000 0.0000 28.1922
C 0.0000 0.0000 3.9819
C 0.0000 0.0000 13.9631
C 0.0000 0.0000 23.3701
C 0.0000 0.0000 33.3512
O -1.1186 -0.6458 13.9295
O -1.3809 -0.7973 20.9444
O 0.0000 -1.5945 16.3887
O -1.3809 0.7973 16.3887
O 0.0000 -1.2917 23.4037
O -1.1186 0.6458 23.4037
O 1.1186 -0.6458 13.9294
O 0.0000 1.2916 13.9294
O 1.3809 -0.7973 20.9444
O 0.0000 1.5945 20.9444
O 1.3809 0.7973 16.3888
O 1.1186 0.6458 23.4037
F 0.0000 0.0000 6.8696
F 0.0000 0.0000 30.4636
```

=====

The following is a simulated X-ray diffraction stick pattern of CsSm2Cu3TeS4. It was derived from DFT lattice parameters and positions (GGA-PBE), using copper Kα.

Peak list (6 most intense, 2θ from 5° to 70°, most intense first)
two_theta  I/Imax
30.1  1000
29.2  845
30.5  802
46.1  624
38.4  616
44.0  560

Structure:
```
22
Lattice="2.0580 -7.1201 0.0000 2.0580 7.1201 0.0000 0.0000 0.0000 17.7949" Properties=species:S:1:pos:R:3 pbc="T T T"
Cs 2.0580 6.4321 13.3462
Cs 2.0580 -6.4321 4.4487
Sm 2.0580 4.4534 1.4775
Sm 2.0580 4.4534 7.4200
Sm 2.0580 -4.4534 10.3749
Sm 2.0580 -4.4534 16.3175
Cu 2.0580 2.1297 13.3462
Cu 2.0580 1.2196 0.6401
Cu 2.0580 1.2196 8.2574
Cu 2.0580 -1.2196 9.5376
Cu 2.0580 -1.2196 17.1549
Cu 2.0580 -2.1297 4.4487
Te 2.0580 3.6380 4.4487
Te 2.0580 -3.6380 13.3462
S 2.0580 4.7364 10.1251
S 2.0580 4.7364 16.5673
S 2.0580 0.8434 10.7079
S 2.0580 0.8434 15.9845
S 2.0580 -0.8434 1.8105
S 2.0580 -0.8434 7.0870
S 2.0580 -4.7364 1.2277
S 2.0580 -4.7364 7.6698
```